Starting from the PBE geometry in the Materials Project, the powder diffraction line list of TiS2 was simulated for Cu Kα X-rays.
Intensities are scaled so that the largest is 100.

Most intense lines, 2θ from 15° to 90°, by angle:
| 2θ/deg | I/Imax |
| --- | --- |
| 15.5 | 100 |
| 33.2 | 99 |
| 33.5 | 55 |
| 35.8 | 65 |
| 36.1 | 24 |
| 42.5 | 44 |
| 45.5 | 26 |
| 53.7 | 50 |
| 53.9 | 28 |
| 54.4 | 25 |

Crystal structure
a b c (Å): 3.4168 3.4168 17.3300
angles (deg): 96.32 96.32 60.00
Fractional positions:
1 Ti 0.0644 0.0644 0.1702
2 Ti 0.9356 0.9356 0.8298
3 S 0.3006 0.3006 0.9121
4 S 0.4275 0.4275 0.2528
5 S 0.5725 0.5725 0.7472
6 S 0.6994 0.6994 0.0879